# Th3FeOs
Computed powder diffraction line list, Cu Kα (λ = 1.5418 Å). Input: a DFT-relaxed cell (GGA-PBE, Alexandria).
Lines closer than 0.1° are merged.

Peak list (6 most intense, 2θ = 10–90°, most intense first)
hkl 1 1 1, 2θ 30.30, d 2.949, I 1000; hkl 3 0 -1, 2θ 33.40, d 2.683, I 919; hkl 1 1 -2, 2θ 31.37, d 2.852, I 864; hkl 2 1 -2, 2θ 34.66, d 2.588, I 688; hkl 0 1 2, 2θ 32.70, d 2.739, I 526; hkl 2 1 1, 2θ 38.65, d 2.329, I 474

Structural model:
Cell lengths 8.078, 3.918, 8.381 Å; angles 90.00, 113.95, 90.00 degrees
Sites, in units of the cell vectors:
Th1 0.064 0.250 0.185
Th2 0.212 0.750 0.572
Th3 0.403 0.750 0.132
Th4 0.597 0.250 0.868
Th5 0.788 0.250 0.428
Th6 0.936 0.750 0.815
Fe1 0.450 0.250 0.430
Fe2 0.550 0.750 0.570
Os1 0.217 0.250 0.840
Os2 0.783 0.750 0.160